Record 1
Simulated powder diffractogram of HoCu2Te3 for Cu Kα (weighted mean of Kα1 and Kα2), from a crystal structure in Alexandria, relaxed with GGA-PBE.
Lines closer than 0.1° are merged.

Cell and atoms:
abc: 7.6085 4.1407 11.1577
angles: 90.00 103.84 90.00
Atoms (fractional coordinates):
Ho  0.2281  0.2500  0.1952
Ho  0.7719  0.7500  0.8048
Cu  0.0450  0.2500  0.9193
Cu  0.4234  0.7500  0.4146
Cu  0.5766  0.2500  0.5854
Cu  0.9550  0.7500  0.0807
Te  0.0601  0.7500  0.3252
Te  0.2574  0.7500  0.9866
Te  0.3975  0.7500  0.6451
Te  0.6025  0.2500  0.3549
Te  0.7426  0.2500  0.0134
Te  0.9399  0.2500  0.6748

The 10 most intense peaks (10° ≤ 2θ ≤ 90°), in order of rising 2θ:
2θ = 12.79°, rel. 100
2θ = 24.66°, rel. 31
2θ = 25.06°, rel. 28
2θ = 27.31°, rel. 40
2θ = 28.04°, rel. 45
2θ = 32.95°, rel. 42
2θ = 37.21°, rel. 40
2θ = 41.76°, rel. 30
2θ = 42.54°, rel. 28
2θ = 43.72°, rel. 34

Record 2
Simulated powder diffractogram of Ho4CuTe for Cu Kα (weighted mean of Kα1 and Kα2), from a crystal structure in Alexandria, relaxed with GGA-PBE.
Lines closer than 0.1° are merged.

Cell and atoms:
abc: 8.3125 3.8950 19.3305
angles: 90.00 90.00 90.00
Atoms (fractional coordinates):
Ho  0.0140  0.2500  0.2172
Ho  0.0250  0.2500  0.9301
Ho  0.1221  0.2500  0.4447
Ho  0.1639  0.2500  0.6477
Ho  0.3361  0.7500  0.1477
Ho  0.3779  0.7500  0.9447
Ho  0.4750  0.7500  0.4301
Ho  0.4860  0.7500  0.7172
Ho  0.5140  0.2500  0.2828
Ho  0.5250  0.2500  0.5699
Ho  0.6221  0.2500  0.0553
Ho  0.6639  0.2500  0.8523
Ho  0.8361  0.7500  0.3523
Ho  0.8779  0.7500  0.5553
Ho  0.9750  0.7500  0.0699
Ho  0.9860  0.7500  0.7828
Cu  0.2398  0.2500  0.0494
Cu  0.2602  0.7500  0.5494
Cu  0.7398  0.2500  0.4506
Cu  0.7602  0.7500  0.9506
Te  0.2146  0.7500  0.3125
Te  0.2854  0.2500  0.8125
Te  0.7146  0.7500  0.1875
Te  0.7854  0.2500  0.6875

The 10 most intense peaks (10° ≤ 2θ ≤ 90°), in order of rising 2θ:
2θ = 31.42°, rel. 100
2θ = 31.61°, rel. 13
2θ = 31.83°, rel. 20
2θ = 32.64°, rel. 50
2θ = 34.22°, rel. 14
2θ = 34.48°, rel. 40
2θ = 35.25°, rel. 20
2θ = 37.21°, rel. 11
2θ = 37.41°, rel. 18
2θ = 46.64°, rel. 23

Record 3
Simulated powder diffractogram of Ho3Tl3CuTe8 for Cu Kα (weighted mean of Kα1 and Kα2), from a crystal structure in Alexandria, relaxed with GGA-PBE.
Lines closer than 0.1° are merged.

Cell and atoms:
abc: 8.6471 8.6471 9.6544
angles: 116.59 116.59 60.02
Atoms (fractional coordinates):
Ho  0.0000  0.0000  0.0000
Ho  0.0000  0.5000  0.0000
Ho  0.5000  0.0000  0.0000
Tl  0.0000  0.5000  0.5000
Tl  0.5000  0.0000  0.5000
Tl  0.5000  0.5000  0.5000
Cu  0.5000  0.5000  0.0000
Te  0.2387  0.2387  0.2157
Te  0.2552  0.7213  0.1982
Te  0.2787  0.7448  0.8018
Te  0.2805  0.2805  0.8034
Te  0.7195  0.7195  0.1966
Te  0.7213  0.2552  0.1982
Te  0.7448  0.2787  0.8018
Te  0.7613  0.7613  0.7843

The 10 most intense peaks (10° ≤ 2θ ≤ 90°), in order of rising 2θ:
2θ = 13.81°, rel. 9
2θ = 27.84°, rel. 100
2θ = 29.90°, rel. 9
2θ = 37.67°, rel. 37
2θ = 41.78°, rel. 35
2θ = 50.95°, rel. 18
2θ = 57.52°, rel. 13
2θ = 62.14°, rel. 12
2θ = 67.93°, rel. 15
2θ = 73.58°, rel. 11

Record 4
Simulated powder diffractogram of Ho4ThCu5 for Cu Kα (weighted mean of Kα1 and Kα2), from a crystal structure in Alexandria, relaxed with GGA-PBE.
Lines closer than 0.1° are merged.

Cell and atoms:
abc: 3.4480 3.4480 17.6437
angles: 90.00 90.00 90.00
Atoms (fractional coordinates):
Ho  0.0000  0.0000  0.0984
Ho  0.0000  0.0000  0.2941
Ho  0.0000  0.0000  0.7059
Ho  0.0000  0.0000  0.9016
Th  0.0000  0.0000  0.5000
Cu  0.5000  0.5000  0.0000
Cu  0.5000  0.5000  0.1966
Cu  0.5000  0.5000  0.3890
Cu  0.5000  0.5000  0.6110
Cu  0.5000  0.5000  0.8034

The 10 most intense peaks (10° ≤ 2θ ≤ 90°), in order of rising 2θ:
2θ = 25.24°, rel. 12
2θ = 25.84°, rel. 23
2θ = 36.43°, rel. 100
2θ = 36.87°, rel. 50
2θ = 45.20°, rel. 11
2θ = 51.82°, rel. 8
2θ = 53.12°, rel. 17
2θ = 65.28°, rel. 17
2θ = 66.13°, rel. 34
2θ = 77.39°, rel. 10

Record 5
Simulated powder diffractogram of HoThCu4 for Cu Kα (weighted mean of Kα1 and Kα2), from a crystal structure in Alexandria, relaxed with GGA-PBE.
Lines closer than 0.1° are merged.

Cell and atoms:
abc: 5.3048 5.3048 5.3048
angles: 60.00 60.00 60.00
Atoms (fractional coordinates):
Ho  0.0000  0.0000  0.0000
Th  0.2500  0.2500  0.2500
Cu  0.1230  0.6257  0.6257
Cu  0.6257  0.1230  0.6257
Cu  0.6257  0.6257  0.1230
Cu  0.6257  0.6257  0.6257

The 10 most intense peaks (10° ≤ 2θ ≤ 90°), in order of rising 2θ:
2θ = 20.50°, rel. 20
2θ = 33.79°, rel. 68
2θ = 39.85°, rel. 100
2θ = 41.71°, rel. 14
2θ = 53.22°, rel. 6
2θ = 60.45°, rel. 26
2θ = 64.55°, rel. 32
2θ = 71.08°, rel. 22
2θ = 81.07°, rel. 12
2θ = 84.73°, rel. 11

Record 6
Simulated powder diffractogram of Ho3Tl2Cu for Cu Kα (weighted mean of Kα1 and Kα2), from a crystal structure in Alexandria, relaxed with GGA-PBE.
Lines closer than 0.1° are merged.

Cell and atoms:
abc: 8.2020 8.2020 6.6119
angles: 102.45 102.45 45.09
Atoms (fractional coordinates):
Ho  0.1430  0.8570  0.7500
Ho  0.2456  0.4381  0.4044
Ho  0.4381  0.2456  0.9044
Ho  0.5619  0.7544  0.0956
Ho  0.7544  0.5619  0.5956
Ho  0.8570  0.1430  0.2500
Tl  0.0586  0.2694  0.0436
Tl  0.2694  0.0586  0.5436
Tl  0.7306  0.9414  0.4564
Tl  0.9414  0.7306  0.9564
Cu  0.3630  0.6370  0.2500
Cu  0.6370  0.3630  0.7500

The 10 most intense peaks (10° ≤ 2θ ≤ 90°), in order of rising 2θ:
2θ = 31.68°, rel. 67
2θ = 32.41°, rel. 100
2θ = 32.77°, rel. 65
2θ = 32.90°, rel. 97
2θ = 35.17°, rel. 89
2θ = 36.60°, rel. 79
2θ = 38.11°, rel. 48
2θ = 46.45°, rel. 35
2θ = 50.64°, rel. 31
2θ = 63.00°, rel. 35

Record 7
Simulated powder diffractogram of HoTmCu4 for Cu Kα (weighted mean of Kα1 and Kα2), from a crystal structure in Alexandria, relaxed with GGA-PBE.
Lines closer than 0.1° are merged.

Cell and atoms:
abc: 5.4126 5.4126 5.4126
angles: 133.64 102.73 95.13
Atoms (fractional coordinates):
Ho  0.0000  0.0000  0.0000
Tm  0.4096  0.9096  0.5000
Cu  0.4208  0.6184  0.8024
Cu  0.5909  0.2894  0.3014
Cu  0.8160  0.6184  0.1976
Cu  0.9880  0.2894  0.6986

The 10 most intense peaks (10° ≤ 2θ ≤ 90°), in order of rising 2θ:
2θ = 24.18°, rel. 23
2θ = 34.98°, rel. 39
2θ = 36.08°, rel. 100
2θ = 36.22°, rel. 39
2θ = 41.97°, rel. 15
2θ = 42.43°, rel. 32
2θ = 42.78°, rel. 41
2θ = 56.98°, rel. 21
2θ = 60.29°, rel. 13
2θ = 69.89°, rel. 18

Record 8
Simulated powder diffractogram of HoTmCu5 for Cu Kα (weighted mean of Kα1 and Kα2), from a crystal structure in Alexandria, relaxed with GGA-PBE.
Lines closer than 0.1° are merged.

Cell and atoms:
abc: 8.4631 5.0343 10.8564
angles: 90.00 90.00 90.00
Atoms (fractional coordinates):
Ho  0.1326  0.2500  0.1399
Ho  0.3674  0.7500  0.6399
Ho  0.6326  0.2500  0.3601
Ho  0.8674  0.7500  0.8601
Tm  0.2414  0.2500  0.4439
Tm  0.2586  0.7500  0.9439
Tm  0.7414  0.2500  0.0561
Tm  0.7586  0.7500  0.5561
Cu  0.0479  0.2500  0.8886
Cu  0.0690  0.0010  0.6821
Cu  0.0690  0.4990  0.6821
Cu  0.0840  0.7500  0.4802
Cu  0.1957  0.7500  0.2670
Cu  0.3043  0.2500  0.7670
Cu  0.4160  0.2500  0.9802
Cu  0.4310  0.5010  0.1821
Cu  0.4310  0.9990  0.1821
Cu  0.4521  0.7500  0.3886
Cu  0.5479  0.2500  0.6114
Cu  0.5690  0.0010  0.8179
Cu  0.5690  0.4990  0.8179
Cu  0.5840  0.7500  0.0198
Cu  0.6957  0.7500  0.2330
Cu  0.8043  0.2500  0.7330
Cu  0.9160  0.2500  0.5198
Cu  0.9310  0.5010  0.3179
Cu  0.9310  0.9990  0.3179
Cu  0.9521  0.7500  0.1114

The 10 most intense peaks (10° ≤ 2θ ≤ 90°), in order of rising 2θ:
2θ = 30.42°, rel. 35
2θ = 32.25°, rel. 50
2θ = 34.71°, rel. 41
2θ = 35.67°, rel. 44
2θ = 35.87°, rel. 31
2θ = 37.25°, rel. 68
2θ = 37.47°, rel. 100
2θ = 42.61°, rel. 42
2θ = 43.53°, rel. 69
2θ = 45.17°, rel. 51

Record 9
Simulated powder diffractogram of HoVCu for Cu Kα (weighted mean of Kα1 and Kα2), from a crystal structure in Alexandria, relaxed with GGA-PBE.
Lines closer than 0.1° are merged.

Cell and atoms:
abc: 3.4327 3.4327 9.4899
angles: 90.00 90.00 90.00
Atoms (fractional coordinates):
Ho  0.0000  0.0000  0.1843
Ho  0.0000  0.0000  0.8157
V  0.5000  0.5000  0.3964
V  0.5000  0.5000  0.6036
Cu  0.0000  0.0000  0.5000
Cu  0.5000  0.5000  0.0000

The 10 most intense peaks (10° ≤ 2θ ≤ 90°), in order of rising 2θ:
2θ = 25.96°, rel. 30
2θ = 28.21°, rel. 18
2θ = 32.18°, rel. 43
2θ = 37.04°, rel. 77
2θ = 38.71°, rel. 100
2θ = 47.20°, rel. 18
2θ = 53.38°, rel. 26
2θ = 62.08°, rel. 15
2θ = 63.71°, rel. 12
2θ = 67.86°, rel. 37

Record 10
Simulated powder diffractogram of YHoCu3 for Cu Kα (weighted mean of Kα1 and Kα2), from a crystal structure in Alexandria, relaxed with GGA-PBE.
Lines closer than 0.1° are merged.

Cell and atoms:
abc: 12.8539 12.8539 4.2871
angles: 90.00 90.00 163.87
Atoms (fractional coordinates):
Y  0.0714  0.9286  0.7500
Y  0.9286  0.0714  0.2500
Ho  0.2042  0.7958  0.2500
Ho  0.7958  0.2042  0.7500
Cu  0.3280  0.6720  0.2500
Cu  0.3817  0.6183  0.7500
Cu  0.4770  0.5230  0.7500
Cu  0.5230  0.4770  0.2500
Cu  0.6183  0.3817  0.2500
Cu  0.6720  0.3280  0.7500

The 10 most intense peaks (10° ≤ 2θ ≤ 90°), in order of rising 2θ:
2θ = 25.05°, rel. 21
2θ = 32.63°, rel. 20
2θ = 34.16°, rel. 100
2θ = 35.04°, rel. 66
2θ = 41.25°, rel. 40
2θ = 42.16°, rel. 36
2θ = 45.94°, rel. 18
2θ = 50.61°, rel. 22
2θ = 55.94°, rel. 31
2θ = 67.26°, rel. 17

Record 11
Simulated powder diffractogram of YHo2Cu3 for Cu Kα (weighted mean of Kα1 and Kα2), from a crystal structure in Alexandria, relaxed with GGA-PBE.
Lines closer than 0.1° are merged.

Cell and atoms:
abc: 3.4540 3.4540 10.4200
angles: 90.00 90.00 90.00
Atoms (fractional coordinates):
Y  0.0000  0.0000  0.0000
Ho  0.0000  0.0000  0.3342
Ho  0.0000  0.0000  0.6658
Cu  0.5000  0.5000  0.1703
Cu  0.5000  0.5000  0.5000
Cu  0.5000  0.5000  0.8297

The 10 most intense peaks (10° ≤ 2θ ≤ 90°), in order of rising 2θ:
2θ = 25.79°, rel. 14
2θ = 36.69°, rel. 100
2θ = 36.80°, rel. 50
2θ = 52.71°, rel. 9
2θ = 53.03°, rel. 17
2θ = 66.01°, rel. 17
2θ = 66.22°, rel. 34
2θ = 78.03°, rel. 10
2θ = 89.22°, rel. 8
2θ = 89.76°, rel. 15

Record 12
Simulated powder diffractogram of YHoCu2 for Cu Kα (weighted mean of Kα1 and Kα2), from a crystal structure in Alexandria, relaxed with GGA-PBE.
Lines closer than 0.1° are merged.

Cell and atoms:
abc: 4.9050 4.9050 4.9050
angles: 60.00 60.00 60.00
Atoms (fractional coordinates):
Y  0.0000  0.0000  0.0000
Ho  0.5000  0.5000  0.5000
Cu  0.2500  0.2500  0.2500
Cu  0.7500  0.7500  0.7500

The 10 most intense peaks (10° ≤ 2θ ≤ 90°), in order of rising 2θ:
2θ = 22.20°, rel. 8
2θ = 25.69°, rel. 11
2θ = 36.64°, rel. 100
2θ = 43.26°, rel. 4
2θ = 45.29°, rel. 3
2θ = 52.79°, rel. 17
2θ = 59.61°, rel. 5
2θ = 65.97°, rel. 34
2θ = 77.91°, rel. 10
2θ = 89.32°, rel. 15